AgO2F: calculated XRD peak list (copper Kα), based on a structure optimized by DFT (PBE).
Lines closer than 0.1° are merged.

Structural model:
Cell: 6.858 6.990 4.844 Å, 90.00 90.00 90.00°
Sites, in units of the cell vectors:
Ag 0.000 0.217 0.250
Ag 0.000 0.783 0.750
Ag 0.500 0.283 0.750
Ag 0.500 0.717 0.250
O 0.130 0.410 0.969
O 0.130 0.590 0.031
O 0.370 0.090 0.469
O 0.370 0.910 0.531
O 0.630 0.090 0.031
O 0.630 0.910 0.969
O 0.870 0.410 0.531
O 0.870 0.590 0.469
F 0.130 0.000 0.000
F 0.370 0.500 0.500
F 0.630 0.500 0.000
F 0.870 0.000 0.500

Peak list (6 most intense, 10 to 80 degrees two-theta, sorted by position)
25.87°, d 3.443, I = 100; 25.98°, d 3.429, I = 25; 36.72°, d 2.448, I = 19; 45.16°, d 2.008, I = 18; 45.57°, d 1.991, I = 16; 45.77°, d 1.983, I = 23



AgO2F4: calculated XRD peak list (copper Kα), based on a structure optimized by DFT (PBE).
Lines closer than 0.1° are merged.

Structural model:
Cell: 3.334 4.465 8.029 Å, 93.85 98.55 93.52°
Sites, in units of the cell vectors:
Ag 0.000 0.000 0.000
O 0.237 0.830 0.498
O 0.763 0.170 0.502
F 0.173 0.704 0.333
F 0.441 0.776 0.888
F 0.559 0.224 0.112
F 0.827 0.296 0.667

Peak list (6 most intense, 10 to 80 degrees two-theta, sorted by position)
11.18°, d 7.916, I = 100; 19.98°, d 4.443, I = 58; 22.46°, d 3.958, I = 51; 23.71°, d 3.753, I = 32; 29.03°, d 3.076, I = 65; 33.75°, d 2.655, I = 30



Ag8OF6: calculated XRD peak list (copper Kα), based on a structure optimized by DFT (PBE).
Lines closer than 0.1° are merged.

Structural model:
Cell: 6.196 6.196 6.196 Å, 90.62 90.62 90.62°
Sites, in units of the cell vectors:
Ag 0.147 0.147 0.147
Ag 0.170 0.349 0.571
Ag 0.349 0.571 0.170
Ag 0.429 0.830 0.651
Ag 0.571 0.170 0.349
Ag 0.651 0.429 0.830
Ag 0.830 0.651 0.429
Ag 0.853 0.853 0.853
O 0.500 0.500 0.500
F 0.129 0.840 0.364
F 0.160 0.636 0.871
F 0.364 0.129 0.840
F 0.636 0.871 0.160
F 0.840 0.364 0.129
F 0.871 0.160 0.636

Peak list (6 most intense, 10 to 80 degrees two-theta, sorted by position)
32.17°, d 2.783, I = 91; 32.46°, d 2.759, I = 29; 35.43°, d 2.534, I = 100; 35.82°, d 2.507, I = 50; 48.70°, d 1.870, I = 36; 55.17°, d 1.665, I = 37



AgOsOF2: calculated XRD peak list (copper Kα), based on a structure optimized by DFT (PBE).
Lines closer than 0.1° are merged.

Structural model:
Cell: 4.418 4.418 3.698 Å, 90.00 90.00 90.00°
Sites, in units of the cell vectors:
Ag 0.000 0.000 0.000
Os 0.500 0.500 0.500
O 0.500 0.500 0.000
F 0.000 0.500 0.500
F 0.500 0.000 0.500

Peak list (6 most intense, 10 to 80 degrees two-theta, sorted by position)
28.57°, d 3.124, I = 62; 31.55°, d 2.835, I = 100; 40.85°, d 2.209, I = 39; 52.51°, d 1.743, I = 48; 57.96°, d 1.591, I = 17; 65.88°, d 1.418, I = 18



AgOsO4F: calculated XRD peak list (copper Kα), based on a structure optimized by DFT (PBE).
Lines closer than 0.1° are merged.

Structural model:
Cell: 5.687 5.687 7.530 Å, 99.78 99.78 86.69°
Sites, in units of the cell vectors:
Ag 0.182 0.182 0.185
Ag 0.818 0.818 0.815
Os 0.334 0.334 0.739
Os 0.666 0.666 0.261
O 0.152 0.540 0.857
O 0.197 0.197 0.525
O 0.460 0.848 0.143
O 0.471 0.471 0.314
O 0.529 0.529 0.686
O 0.540 0.152 0.857
O 0.803 0.803 0.475
O 0.848 0.460 0.143
F 0.104 0.104 0.842
F 0.896 0.896 0.158

Peak list (6 most intense, 10 to 80 degrees two-theta, sorted by position)
22.10°, d 4.022, I = 29; 22.60°, d 3.934, I = 46; 22.78°, d 3.904, I = 100; 24.31°, d 3.661, I = 59; 27.69°, d 3.222, I = 39; 33.56°, d 2.670, I = 47



Ag5PO4F2: calculated XRD peak list (copper Kα), based on a structure optimized by DFT (PBE).
Lines closer than 0.1° are merged.

Structural model:
Cell: 6.866 5.375 5.375 Å, 117.08 90.00 90.00°
Sites, in units of the cell vectors:
Ag 0.000 0.000 0.000
Ag 0.263 0.239 0.568
Ag 0.263 0.568 0.239
Ag 0.737 0.239 0.568
Ag 0.737 0.568 0.239
P 0.500 0.904 0.904
O 0.318 0.072 0.072
O 0.500 0.606 0.887
O 0.500 0.887 0.606
O 0.682 0.072 0.072
F 0.000 0.485 0.861
F 0.000 0.861 0.485

Peak list (6 most intense, 10 to 80 degrees two-theta, sorted by position)
31.90°, d 2.805, I = 34; 32.09°, d 2.789, I = 80; 33.38°, d 2.684, I = 100; 41.57°, d 2.172, I = 29; 42.76°, d 2.114, I = 38; 64.42°, d 1.446, I = 36



AgPO3F: calculated XRD peak list (copper Kα), based on a structure optimized by DFT (PBE).
Lines closer than 0.1° are merged.

Structural model:
Cell: 7.161 7.161 4.550 Å, 103.57 103.57 114.75°
Sites, in units of the cell vectors:
Ag 0.104 0.896 0.750
Ag 0.896 0.104 0.250
P 0.456 0.544 0.250
P 0.544 0.456 0.750
O 0.321 0.386 0.449
O 0.330 0.670 0.250
O 0.386 0.321 0.949
O 0.614 0.679 0.051
O 0.670 0.330 0.750
O 0.679 0.614 0.551
F 0.094 0.906 0.250
F 0.906 0.094 0.750

Peak list (6 most intense, 10 to 80 degrees two-theta, sorted by position)
14.69°, d 6.029, I = 100; 25.62°, d 3.477, I = 91; 26.30°, d 3.389, I = 68; 29.45°, d 3.033, I = 37; 39.56°, d 2.278, I = 66; 40.22°, d 2.242, I = 19



ReAg2O2F4: calculated XRD peak list (copper Kα), based on a structure optimized by DFT (PBE).
Lines closer than 0.1° are merged.

Structural model:
Cell: 5.882 5.882 5.068 Å, 107.18 107.18 60.33°
Sites, in units of the cell vectors:
Re 0.000 0.000 0.000
Ag 0.370 0.370 0.597
Ag 0.630 0.630 0.403
O 0.159 0.159 0.296
O 0.841 0.841 0.704
F 0.175 0.679 0.174
F 0.321 0.825 0.826
F 0.679 0.175 0.174
F 0.825 0.321 0.826

Peak list (6 most intense, 10 to 80 degrees two-theta, sorted by position)
18.56°, d 4.780, I = 42; 21.37°, d 4.158, I = 75; 23.30°, d 3.817, I = 65; 28.02°, d 3.184, I = 100; 31.90°, d 2.805, I = 54; 37.33°, d 2.409, I = 52